Entry 1:
# CuTe8Pd5
Simulated X-ray powder pattern, a wavelength of 1.5418 Å. Input: the PBE geometry in Alexandria.

Main lines, by angle (5 to 70 degrees two-theta):
| 2θ (°) | I_rel |
| --- | --- |
| 13.57 | 19 |
| 26.16 | 38 |
| 27.34 | 32 |
| 31.68 | 85 |
| 41.53 | 31 |
| 45.41 | 100 |
| 56.42 | 20 |
| 66.16 | 15 |

Atomic structure:
```
CuTe8Pd5
1.0
0.000 5.649 5.649
5.649 0.000 5.649
5.649 5.649 0.000
Cu Te Pd
1 8 5
direct
0.000 0.000 0.000 Cu
0.385 0.385 0.385 Te
0.385 0.385 0.845 Te
0.385 0.845 0.385 Te
0.399 0.867 0.867 Te
0.845 0.385 0.385 Te
0.867 0.399 0.867 Te
0.867 0.867 0.399 Te
0.867 0.867 0.867 Te
0.124 0.625 0.625 Pd
0.250 0.250 0.250 Pd
0.625 0.124 0.625 Pd
0.625 0.625 0.124 Pd
0.625 0.625 0.625 Pd
```


Entry 2:
# CuTe6Pd3
Simulated X-ray powder pattern, a wavelength of 1.5418 Å. Input: the PBE geometry in Alexandria.

Main lines, by angle (5 to 70 degrees two-theta):
| 2θ (°) | I_rel |
| --- | --- |
| 17.76 | 18 |
| 29.66 | 100 |
| 35.96 | 14 |
| 40.37 | 52 |
| 44.45 | 60 |
| 54.32 | 35 |
| 55.16 | 14 |
| 61.59 | 17 |

Atomic structure:
```
CuTe6Pd3
1.0
3.530 2.038 5.772
-3.530 2.038 5.772
0.000 -4.076 5.772
Cu Te Pd
1 6 3
direct
0.000 0.000 0.000 Cu
0.085 0.396 0.702 Te
0.207 0.890 0.594 Te
0.396 0.702 0.085 Te
0.594 0.207 0.890 Te
0.702 0.085 0.396 Te
0.890 0.594 0.207 Te
0.295 0.295 0.295 Pd
0.492 0.492 0.492 Pd
0.798 0.798 0.798 Pd
```


Entry 3:
# Cu2Te4Pd
Simulated X-ray powder pattern, a wavelength of 1.5418 Å. Input: the PBE geometry in Alexandria.

Main lines, by angle (5 to 70 degrees two-theta):
| 2θ (°) | I_rel |
| --- | --- |
| 26.20 | 24 |
| 27.24 | 36 |
| 28.11 | 38 |
| 31.91 | 48 |
| 32.14 | 93 |
| 44.96 | 26 |
| 45.92 | 100 |
| 47.20 | 24 |

Atomic structure:
```
Cu2Te4Pd
1.0
-3.851 4.032 5.609
3.851 -4.032 5.609
3.851 4.032 -5.609
Cu Te Pd
4 8 2
direct
0.000 0.000 0.500 Cu
0.000 0.500 0.000 Cu
0.386 0.136 0.250 Cu
0.614 0.864 0.750 Cu
0.224 0.742 0.482 Te
0.240 0.258 0.982 Te
0.242 0.255 0.513 Te
0.242 0.729 0.987 Te
0.758 0.271 0.013 Te
0.758 0.745 0.487 Te
0.760 0.742 0.018 Te
0.776 0.258 0.518 Te
0.000 0.500 0.500 Pd
0.500 0.500 0.000 Pd
```


Entry 4:
# Th2Cu3Pd
Simulated X-ray powder pattern, a wavelength of 1.5418 Å. Input: the PBE geometry in Alexandria.

Main lines, by angle (5 to 70 degrees two-theta):
| 2θ (°) | I_rel |
| --- | --- |
| 23.09 | 15 |
| 23.40 | 28 |
| 34.16 | 50 |
| 34.38 | 100 |
| 40.76 | 49 |
| 41.32 | 24 |
| 54.66 | 26 |
| 67.19 | 22 |

Atomic structure:
```
Th2Cu3Pd
1.0
0.000 4.370 7.703
3.586 0.000 7.703
3.586 4.370 0.000
Th Cu Pd
4 6 2
direct
0.248 0.752 0.752 Th
0.250 0.250 0.250 Th
0.750 0.750 0.750 Th
0.752 0.248 0.248 Th
0.175 0.663 0.337 Cu
0.337 0.825 0.175 Cu
0.338 0.338 0.662 Cu
0.662 0.662 0.338 Cu
0.663 0.175 0.825 Cu
0.825 0.337 0.663 Cu
0.168 0.168 0.832 Pd
0.832 0.832 0.168 Pd
```


Entry 5:
# ThCu2Pd4
Simulated X-ray powder pattern, a wavelength of 1.5418 Å. Input: the PBE geometry in Alexandria.

Main lines, by angle (5 to 70 degrees two-theta):
| 2θ (°) | I_rel |
| --- | --- |
| 34.13 | 73 |
| 34.24 | 31 |
| 34.59 | 33 |
| 34.71 | 33 |
| 37.96 | 100 |
| 39.12 | 34 |
| 39.23 | 34 |
| 43.48 | 62 |

Atomic structure:
```
ThCu2Pd4
1.0
8.432 0.000 0.000
0.000 6.800 0.000
-3.261 0.000 4.125
Th Cu Pd
2 4 8
direct
0.000 0.000 0.000 Th
0.500 0.500 0.000 Th
0.000 0.500 0.253 Cu
0.000 0.500 0.747 Cu
0.500 0.000 0.253 Cu
0.500 0.000 0.747 Cu
0.204 0.201 0.704 Pd
0.204 0.799 0.704 Pd
0.296 0.299 0.296 Pd
0.296 0.701 0.296 Pd
0.704 0.299 0.704 Pd
0.704 0.701 0.704 Pd
0.796 0.201 0.296 Pd
0.796 0.799 0.296 Pd
```


Entry 6:
# ThCu5Pd6
Simulated X-ray powder pattern, a wavelength of 1.5418 Å. Input: the PBE geometry in Alexandria.

Main lines, by angle (5 to 70 degrees two-theta):
| 2θ (°) | I_rel |
| --- | --- |
| 25.80 | 7 |
| 39.84 | 100 |
| 43.38 | 20 |
| 43.63 | 19 |
| 51.63 | 11 |
| 63.21 | 12 |
| 69.66 | 8 |
| 69.85 | 8 |

Atomic structure:
```
ThCu5Pd6
1.0
2.086 -6.224 0.000
2.086 6.224 0.000
0.000 0.000 7.081
Th Cu Pd
1 5 6
direct
0.000 0.000 0.000 Th
0.000 0.000 0.500 Cu
0.320 0.680 0.000 Cu
0.335 0.665 0.500 Cu
0.665 0.335 0.500 Cu
0.680 0.320 0.000 Cu
0.170 0.830 0.265 Pd
0.170 0.830 0.735 Pd
0.500 0.500 0.273 Pd
0.500 0.500 0.727 Pd
0.830 0.170 0.265 Pd
0.830 0.170 0.735 Pd
```


Entry 7:
# TmThCuPd
Simulated X-ray powder pattern, a wavelength of 1.5418 Å. Input: the PBE geometry in Alexandria.

Main lines, by angle (5 to 70 degrees two-theta):
| 2θ (°) | I_rel |
| --- | --- |
| 25.63 | 32 |
| 32.16 | 100 |
| 33.56 | 29 |
| 34.92 | 35 |
| 39.05 | 20 |
| 39.36 | 31 |
| 40.25 | 49 |
| 53.62 | 21 |

Atomic structure:
```
TmThCuPd
1.0
4.579 0.000 0.000
0.000 3.711 0.000
0.000 0.000 10.682
Tm Th Cu Pd
2 2 2 2
direct
0.000 0.000 0.000 Tm
0.000 0.500 0.500 Tm
0.500 0.000 0.719 Th
0.500 0.500 0.219 Th
0.000 0.000 0.281 Cu
0.000 0.500 0.781 Cu
0.500 0.000 0.440 Pd
0.500 0.500 0.940 Pd
```


Entry 8:
# Ti2Cu3Pd3
Simulated X-ray powder pattern, a wavelength of 1.5418 Å. Input: the PBE geometry in Alexandria.

Main lines, by angle (5 to 70 degrees two-theta):
| 2θ (°) | I_rel |
| --- | --- |
| 25.90 | 14 |
| 31.85 | 2 |
| 36.95 | 20 |
| 41.50 | 100 |
| 45.68 | 45 |
| 60.14 | 3 |
| 66.58 | 12 |
| 69.69 | 20 |

Atomic structure:
```
Ti2Cu3Pd3
1.0
3.439 1.986 2.811
-3.439 1.986 2.811
0.000 -3.971 2.811
Ti Cu Pd
2 3 3
direct
0.250 0.250 0.250 Ti
0.750 0.750 0.750 Ti
0.000 0.251 0.749 Cu
0.251 0.749 0.000 Cu
0.749 0.000 0.251 Cu
0.244 0.756 0.500 Pd
0.500 0.244 0.756 Pd
0.756 0.500 0.244 Pd
```


Entry 9:
# TiCu6Pd12
Simulated X-ray powder pattern, a wavelength of 1.5418 Å. Input: the PBE geometry in Alexandria.

Main lines, by angle (5 to 70 degrees two-theta):
| 2θ (°) | I_rel |
| --- | --- |
| 21.74 | 3 |
| 25.99 | 3 |
| 26.47 | 3 |
| 40.16 | 35 |
| 40.51 | 100 |
| 47.02 | 64 |
| 68.44 | 20 |
| 68.92 | 20 |

Atomic structure:
```
TiCu6Pd12
1.0
5.939 3.429 2.245
-5.939 3.429 2.245
0.000 -6.857 2.245
Ti Cu Pd
1 6 12
direct
0.000 0.000 0.000 Ti
0.048 0.575 0.364 Cu
0.364 0.048 0.575 Cu
0.425 0.636 0.952 Cu
0.575 0.364 0.048 Cu
0.636 0.952 0.425 Cu
0.952 0.425 0.636 Cu
0.109 0.164 0.739 Pd
0.164 0.739 0.109 Pd
0.207 0.318 0.473 Pd
0.261 0.891 0.836 Pd
0.318 0.473 0.207 Pd
0.473 0.207 0.318 Pd
0.527 0.793 0.682 Pd
0.682 0.527 0.793 Pd
0.739 0.109 0.164 Pd
0.793 0.682 0.527 Pd
0.836 0.261 0.891 Pd
0.891 0.836 0.261 Pd
```


Entry 10:
# Ti3CuPd4
Simulated X-ray powder pattern, a wavelength of 1.5418 Å. Input: the PBE geometry in Alexandria.

Main lines, by angle (5 to 70 degrees two-theta):
| 2θ (°) | I_rel |
| --- | --- |
| 27.06 | 19 |
| 38.65 | 23 |
| 38.99 | 20 |
| 39.59 | 43 |
| 42.44 | 100 |
| 42.76 | 21 |
| 48.22 | 12 |
| 67.76 | 13 |

Atomic structure:
```
Ti3CuPd4
1.0
9.105 0.000 0.000
0.000 5.583 0.000
0.000 0.000 4.776
Ti Cu Pd
6 2 8
direct
0.000 0.000 0.000 Ti
0.250 0.000 0.387 Ti
0.250 0.500 0.349 Ti
0.500 0.000 0.000 Ti
0.750 0.000 0.613 Ti
0.750 0.500 0.651 Ti
0.000 0.500 0.000 Cu
0.500 0.500 0.000 Cu
0.000 0.253 0.500 Pd
0.000 0.747 0.500 Pd
0.250 0.252 0.870 Pd
0.250 0.748 0.870 Pd
0.500 0.253 0.500 Pd
0.500 0.747 0.500 Pd
0.750 0.252 0.130 Pd
0.750 0.748 0.130 Pd
```


Entry 11:
# Ti3Cu2Pd2
Simulated X-ray powder pattern, a wavelength of 1.5418 Å. Input: the PBE geometry in Alexandria.

Main lines, by angle (5 to 70 degrees two-theta):
| 2θ (°) | I_rel |
| --- | --- |
| 18.43 | 30 |
| 27.43 | 18 |
| 37.96 | 20 |
| 40.93 | 40 |
| 41.07 | 39 |
| 42.80 | 100 |
| 42.90 | 19 |
| 60.79 | 13 |

Atomic structure:
```
Ti3Cu2Pd2
1.0
4.410 0.000 0.000
0.000 5.864 0.000
0.000 0.000 8.432
Ti Cu Pd
6 4 4
direct
0.000 0.000 0.000 Ti
0.000 0.339 0.374 Ti
0.000 0.661 0.626 Ti
0.500 0.000 0.500 Ti
0.500 0.339 0.126 Ti
0.500 0.661 0.874 Ti
0.000 0.405 0.876 Cu
0.000 0.595 0.124 Cu
0.500 0.405 0.624 Cu
0.500 0.595 0.376 Cu
0.000 0.112 0.648 Pd
0.000 0.888 0.352 Pd
0.500 0.112 0.852 Pd
0.500 0.888 0.148 Pd
```


Entry 12:
# Ti6CuPd2
Simulated X-ray powder pattern, a wavelength of 1.5418 Å. Input: the PBE geometry in Alexandria.

Main lines, by angle (5 to 70 degrees two-theta):
| 2θ (°) | I_rel |
| --- | --- |
| 25.36 | 51 |
| 25.52 | 50 |
| 41.99 | 25 |
| 42.13 | 100 |
| 42.40 | 25 |
| 49.79 | 31 |
| 50.05 | 15 |
| 61.20 | 15 |

Atomic structure:
```
Ti6CuPd2
1.0
-2.132 3.038 6.455
2.132 -3.038 6.455
2.132 3.038 -6.455
Ti Cu Pd
6 1 2
direct
0.083 0.337 0.746 Ti
0.243 0.000 0.243 Ti
0.409 0.663 0.746 Ti
0.591 0.337 0.254 Ti
0.757 0.000 0.757 Ti
0.917 0.663 0.254 Ti
0.000 0.500 0.500 Cu
0.333 0.833 0.500 Pd
0.667 0.167 0.500 Pd
```